# 1
# LaDy4Ho4
Simulated PXRD pattern, a wavelength of 1.5418 Å. Input: a DFT-relaxed cell (GGA-PBE, Alexandria).
Lines closer than 0.1° are merged.

Principal peaks in the range 2θ from 10° to 80°, sorted by position:
2θ (°)	d (Å)	I/Imax
30.8	2.906	100.0
35.7	2.517	50.6
51.3	1.780	36.0
61.0	1.519	28.6
61.1	1.516	14.2
64.1	1.453	12.3
75.5	1.260	3.8
75.7	1.256	1.9

Atomic structure:
```
LaDy4Ho4
1.0
-5.344 5.344 2.512
5.344 -5.344 2.512
5.344 5.344 -2.512
La Dy Ho
1 4 4
direct
0.000 0.000 0.000
0.000 0.335 0.335
0.000 0.665 0.665
0.335 0.000 0.335
0.665 0.000 0.665
0.331 0.331 0.663
0.331 0.669 0.000
0.669 0.331 0.000
0.669 0.669 0.337
```

=====

# 2
# Pm4Nd4Tm
Simulated PXRD pattern, a wavelength of 1.5418 Å. Input: a DFT-relaxed cell (GGA-PBE, Alexandria).
Lines closer than 0.1° are merged.

Principal peaks in the range 2θ from 10° to 80°, sorted by position:
2θ (°)	d (Å)	I/Imax
30.0	2.978	100.0
34.8	2.579	50.7
50.0	1.823	36.3
59.4	1.555	43.2
62.4	1.489	12.5
73.4	1.290	3.8
73.5	1.289	1.9

Atomic structure:
```
Pm4Nd4Tm
1.0
5.762 -2.581 0.000
5.762 2.581 0.000
-3.458 0.000 10.380
Pm Nd Tm
4 4 1
direct
0.165 0.165 0.221
0.167 0.167 0.555
0.833 0.833 0.445
0.835 0.835 0.779
0.168 0.168 0.891
0.499 0.499 0.331
0.501 0.501 0.669
0.832 0.832 0.109
0.500 0.500 0.000
```

=====

# 3
# KBaCr2
Simulated PXRD pattern, a wavelength of 1.5418 Å. Input: a DFT-relaxed cell (GGA-PBE, Alexandria).
Lines closer than 0.1° are merged.

Principal peaks in the range 2θ from 10° to 80°, sorted by position:
2θ (°)	d (Å)	I/Imax
23.1	3.854	35.9
26.2	3.396	73.9
28.0	3.189	100.0
32.2	2.781	54.8
34.6	2.593	24.2
38.8	2.319	20.5
40.1	2.247	61.6
41.4	2.183	27.6
50.2	1.817	19.9
57.1	1.613	37.4

Atomic structure:
```
KBaCr2
1.0
2.247 1.297 9.274
-2.247 1.297 9.274
0.000 -2.594 9.274
K Ba Cr
1 1 2
direct
0.000 0.000 0.000
0.822 0.822 0.822
0.237 0.237 0.237
0.571 0.571 0.571
```

=====

# 4
# Na11Cd4Hg9
Simulated PXRD pattern, a wavelength of 1.5418 Å. Input: a DFT-relaxed cell (GGA-PBE, Alexandria).
Lines closer than 0.1° are merged.

Principal peaks in the range 2θ from 10° to 80°, sorted by position:
2θ (°)	d (Å)	I/Imax
20.6	4.318	75.4
22.1	4.022	67.4
25.5	3.491	100.0
33.0	2.715	86.2
33.3	2.694	69.1
33.8	2.651	38.4
34.0	2.637	73.3
34.1	2.628	50.4
36.7	2.452	67.0
42.4	2.133	46.0

Atomic structure:
```
Na11Cd4Hg9
1.0
8.635 -10.340 0.000
8.635 10.340 0.000
0.000 0.000 3.491
Na Cd Hg
11 4 9
direct
0.000 0.000 0.000
0.056 0.396 0.000
0.198 0.802 0.000
0.209 0.209 0.000
0.367 0.633 0.000
0.396 0.056 0.000
0.604 0.944 0.000
0.633 0.367 0.000
0.791 0.791 0.000
0.802 0.198 0.000
0.944 0.604 0.000
0.272 0.421 0.500
0.421 0.272 0.500
0.579 0.728 0.500
0.728 0.579 0.500
0.001 0.195 0.500
0.152 0.596 0.500
0.195 0.001 0.500
0.404 0.848 0.500
0.500 0.500 0.500
0.596 0.152 0.500
0.805 0.999 0.500
0.848 0.404 0.500
0.999 0.805 0.500
```

=====

# 5
# MgTi8O16
Simulated PXRD pattern, a wavelength of 1.5418 Å. Input: a DFT-relaxed cell (GGA-PBE, Alexandria).
Lines closer than 0.1° are merged.

Principal peaks in the range 2θ from 10° to 80°, sorted by position:
2θ (°)	d (Å)	I/Imax
24.3	3.669	49.4
25.1	3.542	100.0
25.3	3.515	17.9
25.5	3.488	19.7
30.2	2.955	37.7
30.6	2.924	21.0
35.6	2.520	20.1
39.3	2.295	16.4
45.8	1.983	20.2
47.4	1.919	16.2

Atomic structure:
```
MgTi8O16
1.0
5.210 0.000 0.000
0.160 5.647 0.000
0.173 0.332 9.369
Mg Ti O
1 8 16
direct
0.000 0.000 0.000
0.148 0.695 0.755
0.151 0.210 0.537
0.390 0.736 0.272
0.445 0.266 0.034
0.621 0.010 0.773
0.646 0.513 0.528
0.886 0.018 0.297
0.906 0.503 0.037
0.076 0.759 0.163
0.085 0.243 0.137
0.221 0.985 0.391
0.239 0.487 0.911
0.337 0.994 0.896
0.344 0.489 0.412
0.478 0.239 0.636
0.481 0.738 0.671
0.580 0.535 0.138
0.597 0.023 0.168
0.715 0.775 0.397
0.755 0.252 0.912
0.841 0.278 0.417
0.843 0.761 0.888
0.982 0.501 0.634
0.987 0.002 0.668
```

=====

# 6
# AgTeI3
Simulated PXRD pattern, a wavelength of 1.5418 Å. Input: a DFT-relaxed cell (GGA-PBE, Alexandria).
Lines closer than 0.1° are merged.

Principal peaks in the range 2θ from 10° to 80°, sorted by position:
2θ (°)	d (Å)	I/Imax
12.0	7.366	74.9
14.4	6.158	43.5
20.6	4.306	79.0
22.2	3.996	100.0
24.8	3.588	56.5
25.1	3.547	43.1
26.9	3.314	29.5
30.1	2.971	37.3
36.8	2.443	35.8
40.9	2.206	31.4

Atomic structure:
```
AgTeI3
1.0
4.789 0.000 0.000
-0.573 8.668 0.000
-1.056 -1.993 10.763
Ag Te I
2 2 6
direct
0.000 0.000 0.000
0.301 0.905 0.769
0.274 0.466 0.370
0.990 0.287 0.522
0.075 0.328 0.114
0.398 0.588 0.653
0.480 0.827 0.010
0.680 0.060 0.337
0.833 0.082 0.742
0.983 0.735 0.352
```

=====

# 7
# Nd5Y4Er2
Simulated PXRD pattern, a wavelength of 1.5418 Å. Input: a DFT-relaxed cell (GGA-PBE, Alexandria).
Lines closer than 0.1° are merged.

Principal peaks in the range 2θ from 10° to 80°, sorted by position:
2θ (°)	d (Å)	I/Imax
10.3	8.558	3.1
30.3	2.948	100.0
35.1	2.553	50.5
50.5	1.806	23.8
50.6	1.804	11.8
60.0	1.541	17.6
60.1	1.539	24.6
63.0	1.476	3.1
63.1	1.474	9.1
74.3	1.276	3.7

Atomic structure:
```
Nd5Y4Er2
1.0
11.856 -1.805 0.000
11.856 1.805 0.000
-2.189 0.000 8.558
Nd Y Er
5 4 2
direct
0.000 0.000 0.000
0.274 0.274 0.185
0.364 0.364 0.910
0.636 0.636 0.090
0.726 0.726 0.815
0.181 0.181 0.454
0.455 0.455 0.634
0.545 0.545 0.366
0.819 0.819 0.546
0.090 0.090 0.723
0.910 0.910 0.277
```

=====

# 8
# PuAl2Te4
Simulated PXRD pattern, a wavelength of 1.5418 Å. Input: a DFT-relaxed cell (GGA-PBE, Alexandria).
Lines closer than 0.1° are merged.

Principal peaks in the range 2θ from 10° to 80°, sorted by position:
2θ (°)	d (Å)	I/Imax
19.0	4.660	32.3
24.1	3.686	100.0
28.4	3.138	17.6
32.1	2.785	20.7
35.5	2.530	14.9
38.6	2.330	48.8
42.4	2.130	19.8
42.6	2.124	17.4
49.4	1.844	26.5
61.6	1.505	16.2

Atomic structure:
```
PuAl2Te4
1.0
6.025 0.000 0.000
0.000 6.025 0.000
0.000 0.000 7.351
Pu Al Te
1 2 4
direct
0.000 0.000 0.000
0.000 0.500 0.500
0.500 0.000 0.500
0.271 0.271 0.281
0.271 0.729 0.719
0.729 0.271 0.719
0.729 0.729 0.281
```

=====

# 9
# RbTlBr6
Simulated PXRD pattern, a wavelength of 1.5418 Å. Input: a DFT-relaxed cell (GGA-PBE, Alexandria).
Lines closer than 0.1° are merged.

Principal peaks in the range 2θ from 10° to 80°, sorted by position:
2θ (°)	d (Å)	I/Imax
13.4	6.629	33.6
18.1	4.912	27.2
19.8	4.492	31.8
22.5	3.946	40.2
32.6	2.747	100.0
36.6	2.456	27.5
40.8	2.210	19.4
44.4	2.042	42.3
56.8	1.620	18.5
65.2	1.431	22.3

Atomic structure:
```
RbTlBr6
1.0
4.912 2.836 3.526
-4.912 2.836 3.526
0.000 -5.671 3.526
Rb Tl Br
1 1 6
direct
0.000 0.000 0.000
0.500 0.500 0.500
0.207 0.207 0.591
0.207 0.591 0.207
0.409 0.793 0.793
0.591 0.207 0.207
0.793 0.409 0.793
0.793 0.793 0.409
```